The following is a computed powder X-ray diffraction pattern of KBaFe2. It was derived from a cell relaxed with GGA-PBE, using copper Kα.

Principal peaks in the range 15 to 90 degrees two-theta, low angle first:
27.4°, rel. 100, hkl 0 0 3
31.7°, rel. 48, hkl 1 0 2
36.8°, rel. 73, hkl 1 1 0
38.0°, rel. 76, hkl 1 0 3
46.5°, rel. 35, hkl 1 1 3
53.1°, rel. 37, hkl 2 0 0
60.7°, rel. 32, hkl 2 0 3
63.2°, rel. 34, hkl 1 0 6

Structure:
```
data_KBaFe2
_space_group_name_H-M_alt 'P 4 m m'
_space_group_IT_number 99
_space_group_name_Hall 'P 4 -2'
_cell_length_a 3.4518
_cell_length_b 3.4518
_cell_length_c 9.7686
_cell_angle_alpha 90.00
_cell_angle_beta 90.00
_cell_angle_gamma 90.00
loop_
_atom_site_label
_atom_site_type_symbol
_atom_site_fract_x
_atom_site_fract_y
_atom_site_fract_z
K1 K 0.0000 0.0000 0.0000
Ba1 Ba 0.5000 0.5000 0.4205
Fe1 Fe 0.0000 0.0000 0.6641
Fe2 Fe 0.5000 0.5000 0.7336
```